Record 1
Computed powder diffractogram of LaSm2Rh2 for Cu Kα (weighted mean of Kα1 and Kα2), from a cell relaxed with PBE.

Principal peaks in the range 10° ≤ 2θ ≤ 90°, in order of rising 2θ:
two_theta, I (rel.)
26.19, 50.5
32.04, 100.0
32.47, 96.0
33.20, 76.7
39.65, 68.7
40.70, 59.8
41.19, 55.2
47.86, 34.3
53.90, 38.5
64.95, 27.2

Atomic structure:
```
LaSm2Rh2
1.0
5.786 0.000 0.000
0.000 4.383 0.000
-1.672 0.000 10.643
La Sm Rh
2 4 4
Cartesian
-0.198 1.096 3.074
4.312 3.287 7.569
1.509 3.287 0.365
1.215 1.096 6.545
2.899 3.287 4.098
2.605 1.096 10.278
0.149 3.287 4.963
-0.339 1.096 9.188
4.452 3.287 1.455
3.965 1.096 5.680
```

Record 2
Computed powder diffractogram of LaSm3Rh2 for Cu Kα (weighted mean of Kα1 and Kα2), from a cell relaxed with PBE.

Principal peaks in the range 10° ≤ 2θ ≤ 90°, in order of rising 2θ:
two_theta, I (rel.)
21.90, 55.6
25.68, 60.8
28.59, 38.3
34.04, 57.7
35.89, 92.9
36.63, 100.0
38.24, 28.1
52.78, 32.5
64.02, 38.8
65.48, 25.5

Atomic structure:
```
LaSm3Rh2
1.0
-3.469 6.938 3.612
3.469 -6.938 3.612
3.469 6.938 -3.612
La Sm Rh
2 6 4
Cartesian
0.000 0.000 0.000
0.000 0.000 3.612
3.469 3.610 -1.806
3.469 0.000 1.806
0.000 3.328 1.806
3.469 3.610 1.806
0.000 6.938 1.806
0.000 3.328 5.418
5.008 1.859 0.000
1.538 5.080 0.000
1.931 1.859 3.612
-1.538 5.080 3.612
```

Record 3
Computed powder diffractogram of LaSmTh2Rh4 for Cu Kα (weighted mean of Kα1 and Kα2), from a cell relaxed with PBE.

Principal peaks in the range 10° ≤ 2θ ≤ 90°, in order of rising 2θ:
two_theta, I (rel.)
27.49, 12.9
30.92, 100.0
31.26, 54.6
42.42, 18.5
44.54, 73.0
46.10, 15.3
53.62, 18.3
56.75, 16.4
73.35, 11.6
73.90, 16.4

Atomic structure:
```
LaSmTh2Rh4
1.0
0.000 5.723 4.262
3.938 0.000 4.262
3.938 5.723 0.000
La Sm Th Rh
1 1 2 4
Cartesian
0.000 0.000 0.000
3.938 5.723 3.754
1.969 2.861 2.123
5.907 8.584 6.385
3.938 2.949 4.281
5.564 5.723 6.164
3.938 8.497 4.281
2.312 5.723 6.164
```

Record 4
Computed powder diffractogram of La3Sn3Rh for Cu Kα (weighted mean of Kα1 and Kα2), from a cell relaxed with PBE.

Principal peaks in the range 10° ≤ 2θ ≤ 90°, in order of rising 2θ:
two_theta, I (rel.)
29.31, 79.5
29.80, 100.0
29.98, 54.3
30.72, 51.3
34.11, 39.9
36.28, 89.2
36.57, 60.9
38.52, 79.1
54.15, 39.7
58.89, 38.3

Atomic structure:
```
La3Sn3Rh
1.0
5.826 -2.338 0.000
5.826 2.338 0.000
-5.179 0.000 14.745
La Sn Rh
6 6 2
Cartesian
-1.731 0.000 5.642
-3.599 0.000 13.582
1.572 0.000 3.581
4.902 0.000 11.164
10.073 0.000 1.163
8.205 0.000 9.103
1.624 0.000 6.882
-0.346 0.000 13.610
1.491 0.000 11.249
4.983 0.000 3.496
6.820 0.000 1.135
4.850 0.000 7.862
-0.275 0.000 9.078
6.749 0.000 5.666
```

Record 5
Computed powder diffractogram of La5Sn2Rh for Cu Kα (weighted mean of Kα1 and Kα2), from a cell relaxed with PBE.

Principal peaks in the range 10° ≤ 2θ ≤ 90°, in order of rising 2θ:
two_theta, I (rel.)
25.49, 22.0
29.20, 100.0
30.03, 61.2
30.15, 70.0
31.70, 63.2
33.75, 26.9
35.44, 25.1
37.09, 52.6
48.24, 22.7
48.52, 37.4

Atomic structure:
```
La5Sn2Rh
1.0
8.293 0.000 0.000
0.000 12.697 0.000
0.000 0.000 4.848
La Sn Rh
10 4 2
Cartesian
0.000 0.000 0.000
1.074 3.801 0.000
1.597 7.195 2.424
2.550 0.846 2.424
3.072 10.149 0.000
4.146 6.348 0.000
5.221 2.547 0.000
5.743 11.850 2.424
6.696 5.502 2.424
7.218 8.896 0.000
0.692 10.531 2.424
3.454 4.182 2.424
4.839 8.514 2.424
7.601 2.166 2.424
0.000 6.348 0.000
4.146 0.000 0.000
```

Record 6
Computed powder diffractogram of La3Sn13Rh4 for Cu Kα (weighted mean of Kα1 and Kα2), from a cell relaxed with PBE.

Principal peaks in the range 10° ≤ 2θ ≤ 90°, in order of rising 2θ:
two_theta, I (rel.)
32.77, 100.0
34.04, 37.5
36.47, 21.6
37.63, 14.2
45.07, 22.5
54.28, 14.4
57.66, 17.0
62.52, 13.2
66.40, 11.0
86.70, 10.0

Atomic structure:
```
La3Sn13Rh4
1.0
9.855 0.000 0.000
0.000 9.855 0.000
0.000 0.000 9.855
La Sn Rh
6 26 8
Cartesian
0.000 2.464 4.927
0.000 7.391 4.927
2.464 4.927 0.000
4.927 0.000 2.464
4.927 0.000 7.391
7.391 4.927 0.000
0.000 0.000 0.000
0.000 3.014 1.512
0.000 3.014 8.343
0.000 6.841 1.512
0.000 6.841 8.343
1.512 0.000 3.014
1.512 0.000 6.841
1.913 4.927 3.416
1.913 4.927 6.439
3.014 1.512 0.000
3.014 8.343 0.000
3.416 1.913 4.927
3.416 7.941 4.927
4.927 3.416 1.913
4.927 3.416 7.941
4.927 4.927 4.927
4.927 6.439 1.913
4.927 6.439 7.941
6.439 1.913 4.927
6.439 7.941 4.927
6.841 1.512 0.000
6.841 8.343 0.000
7.941 4.927 3.416
7.941 4.927 6.439
8.343 0.000 3.014
8.343 0.000 6.841
2.464 2.464 2.464
2.464 2.464 7.391
2.464 7.391 2.464
2.464 7.391 7.391
7.391 2.464 2.464
7.391 2.464 7.391
7.391 7.391 2.464
7.391 7.391 7.391
```

Record 7
Computed powder diffractogram of LaSn12Rh4 for Cu Kα (weighted mean of Kα1 and Kα2), from a cell relaxed with PBE.

Principal peaks in the range 10° ≤ 2θ ≤ 90°, in order of rising 2θ:
two_theta, I (rel.)
29.90, 100.0
35.55, 46.5
42.80, 24.0
47.12, 34.2
49.17, 27.0
56.81, 14.8
67.19, 20.3
76.83, 9.5
87.62, 18.9
89.15, 10.0

Atomic structure:
```
LaSn12Rh4
1.0
-4.724 4.724 4.724
4.724 -4.724 4.724
4.724 4.724 -4.724
La Sn Rh
1 12 4
Cartesian
0.000 0.000 0.000
3.211 0.000 1.533
6.238 0.000 1.533
4.724 3.192 -1.514
1.533 3.211 0.000
3.192 -1.514 4.724
4.724 3.192 1.514
0.000 1.533 3.211
1.533 6.238 0.000
3.192 1.514 4.724
0.000 1.533 6.238
-1.514 4.724 3.192
1.514 4.724 3.192
2.362 2.362 -2.362
2.362 -2.362 2.362
-2.362 2.362 2.362
2.362 2.362 2.362
```

Record 8
Computed powder diffractogram of SrLaRh for Cu Kα (weighted mean of Kα1 and Kα2), from a cell relaxed with PBE.

Principal peaks in the range 10° ≤ 2θ ≤ 90°, in order of rising 2θ:
two_theta, I (rel.)
13.61, 54.7
25.52, 31.0
30.01, 100.0
30.34, 47.1
41.75, 21.5
41.92, 40.9
44.13, 25.5
44.44, 32.1
52.48, 19.9
69.05, 16.5

Atomic structure:
```
SrLaRh
1.0
6.939 0.000 0.000
0.000 8.654 0.000
-2.590 0.000 6.991
Sr La Rh
4 4 4
Cartesian
0.422 1.109 3.378
-0.873 3.218 6.874
5.222 5.435 0.117
3.927 7.545 3.613
0.625 5.403 3.656
1.920 7.578 0.161
2.429 1.076 6.830
3.724 3.251 3.335
2.596 5.408 1.838
1.301 7.572 5.333
3.049 1.082 1.658
1.754 3.245 5.153
```

What is the formula in the eighth record? SrLaRh